No. 1
HfMg6SbO8: theoretical powder XRD pattern (Cu Kα, 1.54184 Å), based on a structure optimized by DFT (PBE).
Peak positions follow from Bragg's law for the DFT cell and can differ from measured ones.

Peak list (10 most intense, 15° ≤ 2θ ≤ 90°, in order of rising 2θ)
2θ 16.70, I = 542
2θ 20.56, I = 588
2θ 26.61, I = 651
2θ 29.24, I = 249
2θ 33.83, I = 1000
2θ 41.83, I = 526
2θ 45.31, I = 294
2θ 50.27, I = 231
2θ 54.80, I = 371
2θ 71.27, I = 322

Cell lengths 4.319, 4.319, 10.616 Å; angles 90.00, 90.00, 90.00 degrees
Space group P4/mmm (No. 123)
Symmetry-distinct sites (fractional):
Hf1 0.000 0.000 0.000 [1 per cell]
Mg1 0.000 0.500 0.271 [4 per cell]
Mg2 0.500 0.500 0.000 [1 per cell]
Mg3 0.500 0.500 0.500 [1 per cell]
Sb1 0.000 0.000 0.500 [1 per cell]
O1 0.000 0.000 0.195 [2 per cell]
O2 0.000 0.500 0.000 [2 per cell]
O3 0.000 0.500 0.500 [2 per cell]
O4 0.500 0.500 0.291 [2 per cell]

No. 2
HfMg14SnO16: theoretical powder XRD pattern (Cu Kα, 1.54184 Å), based on a structure optimized by DFT (PBE).
Peak positions follow from Bragg's law for the DFT cell and can differ from measured ones.

Peak list (10 most intense, 15° ≤ 2θ ≤ 90°, in order of rising 2θ)
2θ 20.08, I = 438
2θ 22.51, I = 671
2θ 28.60, I = 570
2θ 30.34, I = 367
2θ 35.21, I = 559
2θ 40.82, I = 1000
2θ 41.02, I = 479
2θ 59.10, I = 302
2θ 59.26, I = 583
2θ 74.46, I = 276

Cell lengths 4.418, 8.800, 8.849 Å; angles 90.00, 90.00, 90.00 degrees
Space group Pmmm (No. 47)
Symmetry-distinct sites (fractional):
Hf1 0.000 0.000 0.000 [1 per cell]
Mg1 0.000 0.261 0.252 [4 per cell]
Mg2 0.000 0.500 0.000 [1 per cell]
Mg3 0.000 0.500 0.500 [1 per cell]
Mg4 0.500 0.000 0.250 [2 per cell]
Mg5 0.500 0.258 0.000 [2 per cell]
Mg6 0.500 0.261 0.500 [2 per cell]
Mg7 0.500 0.500 0.250 [2 per cell]
Sn1 0.000 0.000 0.500 [1 per cell]
O1 0.000 0.000 0.234 [2 per cell]
O2 0.000 0.255 0.000 [2 per cell]
O3 0.000 0.275 0.500 [2 per cell]
O4 0.000 0.500 0.245 [2 per cell]
O5 0.500 0.000 0.000 [1 per cell]
O6 0.500 0.000 0.500 [1 per cell]
O7 0.500 0.249 0.252 [4 per cell]
O8 0.500 0.500 0.000 [1 per cell]
O9 0.500 0.500 0.500 [1 per cell]

No. 3
HfMg14SnO16: theoretical powder XRD pattern (Cu Kα, 1.54184 Å), based on a structure optimized by DFT (PBE).
Peak positions follow from Bragg's law for the DFT cell and can differ from measured ones.

Peak list (10 most intense, 15° ≤ 2θ ≤ 90°, in order of rising 2θ)
2θ 20.23, I = 452
2θ 24.70, I = 549
2θ 28.64, I = 390
2θ 32.24, I = 330
2θ 35.32, I = 579
2θ 38.27, I = 365
2θ 40.78, I = 521
2θ 41.13, I = 1000
2θ 59.30, I = 613
2θ 59.57, I = 298

Cell lengths 8.779, 8.779, 4.426 Å; angles 90.00, 90.00, 90.00 degrees
Space group P4/mmm (No. 123)
Symmetry-distinct sites (fractional):
Hf1 0.000 0.000 0.000 [1 per cell]
Mg1 0.000 0.255 0.500 [4 per cell]
Mg2 0.000 0.500 0.000 [2 per cell]
Mg3 0.242 0.500 0.500 [4 per cell]
Mg4 0.251 0.251 0.000 [4 per cell]
Sn1 0.500 0.500 0.000 [1 per cell]
O1 0.000 0.000 0.500 [1 per cell]
O2 0.000 0.250 0.000 [4 per cell]
O3 0.000 0.500 0.500 [2 per cell]
O4 0.227 0.500 0.000 [4 per cell]
O5 0.251 0.251 0.500 [4 per cell]
O6 0.500 0.500 0.500 [1 per cell]

No. 4
SrHfMg14O16: theoretical powder XRD pattern (Cu Kα, 1.54184 Å), based on a structure optimized by DFT (PBE).
Peak positions follow from Bragg's law for the DFT cell and can differ from measured ones.

Peak list (10 most intense, 15° ≤ 2θ ≤ 90°, in order of rising 2θ)
2θ 20.25, I = 369
2θ 24.61, I = 456
2θ 28.57, I = 319
2θ 35.27, I = 526
2θ 38.23, I = 292
2θ 40.53, I = 532
2θ 41.16, I = 1000
2θ 59.14, I = 614
2θ 59.62, I = 295
2θ 74.58, I = 281

Cell lengths 8.772, 8.772, 4.452 Å; angles 90.00, 90.00, 90.00 degrees
Space group P4/mmm (No. 123)
Symmetry-distinct sites (fractional):
Sr1 0.000 0.000 0.000 [1 per cell]
Hf1 0.500 0.500 0.000 [1 per cell]
Mg1 0.000 0.258 0.500 [4 per cell]
Mg2 0.000 0.500 0.000 [2 per cell]
Mg3 0.245 0.500 0.500 [4 per cell]
Mg4 0.250 0.250 0.000 [4 per cell]
O1 0.000 0.000 0.500 [1 per cell]
O2 0.000 0.271 0.000 [4 per cell]
O3 0.000 0.500 0.500 [2 per cell]
O4 0.250 0.250 0.500 [4 per cell]
O5 0.250 0.500 0.000 [4 per cell]
O6 0.500 0.500 0.500 [1 per cell]

No. 5
SrHfMg14O16: theoretical powder XRD pattern (Cu Kα, 1.54184 Å), based on a structure optimized by DFT (PBE).
Peak positions follow from Bragg's law for the DFT cell and can differ from measured ones.

Peak list (10 most intense, 15° ≤ 2θ ≤ 90°, in order of rising 2θ)
2θ 20.19, I = 702
2θ 22.39, I = 596
2θ 22.58, I = 608
2θ 28.53, I = 605
2θ 30.30, I = 651
2θ 35.20, I = 983
2θ 40.53, I = 1000
2θ 40.95, I = 963
2θ 41.13, I = 926
2θ 58.98, I = 587

Cell lengths 4.451, 8.779, 8.815 Å; angles 90.00, 90.00, 90.00 degrees
Space group Pmmm (No. 47)
Symmetry-distinct sites (fractional):
Sr1 0.000 0.000 0.000 [1 per cell]
Hf1 0.000 0.000 0.500 [1 per cell]
Mg1 0.000 0.263 0.249 [4 per cell]
Mg2 0.000 0.500 0.000 [1 per cell]
Mg3 0.000 0.500 0.500 [1 per cell]
Mg4 0.500 0.000 0.250 [2 per cell]
Mg5 0.500 0.258 0.500 [2 per cell]
Mg6 0.500 0.262 0.000 [2 per cell]
Mg7 0.500 0.500 0.250 [2 per cell]
O1 0.000 0.000 0.266 [2 per cell]
O2 0.000 0.256 0.500 [2 per cell]
O3 0.000 0.272 0.000 [2 per cell]
O4 0.000 0.500 0.255 [2 per cell]
O5 0.500 0.000 0.000 [1 per cell]
O6 0.500 0.000 0.500 [1 per cell]
O7 0.500 0.250 0.249 [4 per cell]
O8 0.500 0.500 0.000 [1 per cell]
O9 0.500 0.500 0.500 [1 per cell]

No. 6
HfMg6ZnO8: theoretical powder XRD pattern (Cu Kα, 1.54184 Å), based on a structure optimized by DFT (PBE).
Peak positions follow from Bragg's law for the DFT cell and can differ from measured ones.

Peak list (10 most intense, 15° ≤ 2θ ≤ 90°, in order of rising 2θ)
2θ 19.74, I = 463
2θ 20.43, I = 841
2θ 22.71, I = 382
2θ 28.55, I = 753
2θ 29.04, I = 360
2θ 35.36, I = 806
2θ 40.10, I = 543
2θ 41.54, I = 1000
2θ 51.18, I = 304
2θ 59.10, I = 628

Cell lengths 4.348, 4.348, 8.995 Å; angles 90.00, 90.00, 90.00 degrees
Space group P4/mmm (No. 123)
Symmetry-distinct sites (fractional):
Hf1 0.000 0.000 0.000 [1 per cell]
Mg1 0.000 0.500 0.263 [4 per cell]
Mg2 0.500 0.500 0.000 [1 per cell]
Mg3 0.500 0.500 0.500 [1 per cell]
Zn1 0.000 0.000 0.500 [1 per cell]
O1 0.000 0.000 0.241 [2 per cell]
O2 0.000 0.500 0.000 [2 per cell]
O3 0.000 0.500 0.500 [2 per cell]
O4 0.500 0.500 0.248 [2 per cell]

No. 7
HfMg6ZnO8: theoretical powder XRD pattern (Cu Kα, 1.54184 Å), based on a structure optimized by DFT (PBE).
Peak positions follow from Bragg's law for the DFT cell and can differ from measured ones.

Peak list (10 most intense, 15° ≤ 2θ ≤ 90°, in order of rising 2θ)
2θ 19.94, I = 454
2θ 22.76, I = 387
2θ 29.04, I = 360
2θ 30.76, I = 633
2θ 35.48, I = 806
2θ 40.51, I = 524
2θ 41.53, I = 1000
2θ 59.41, I = 615
2θ 60.19, I = 303
2θ 71.85, I = 289

Cell lengths 4.349, 4.349, 8.907 Å; angles 90.00, 90.00, 90.00 degrees
Space group P4/mmm (No. 123)
Symmetry-distinct sites (fractional):
Hf1 0.000 0.000 0.000 [1 per cell]
Mg1 0.000 0.000 0.500 [1 per cell]
Mg2 0.000 0.500 0.261 [4 per cell]
Mg3 0.500 0.500 0.500 [1 per cell]
Zn1 0.500 0.500 0.000 [1 per cell]
O1 0.000 0.000 0.256 [2 per cell]
O2 0.000 0.500 0.000 [2 per cell]
O3 0.000 0.500 0.500 [2 per cell]
O4 0.500 0.500 0.268 [2 per cell]

> What is the formula in the sixth record?

HfMg6ZnO8